Starting from a crystal structure in Alexandria, relaxed with PBE, the XRD peak list of Tb2Ga2CuPt5 was calculated for a wavelength of 1.5418 Å.

Cell and atoms:
abc: 9.758 9.758 3.704
angles: 90.00 90.00 90.00
Sites, in units of the cell vectors:
Tb (0.175, 0.325, 0.000)
Tb (0.325, 0.825, 0.000)
Tb (0.675, 0.175, 0.000)
Tb (0.825, 0.675, 0.000)
Ga (0.125, 0.625, 0.000)
Ga (0.375, 0.125, 0.000)
Ga (0.625, 0.875, 0.000)
Ga (0.875, 0.375, 0.000)
Cu (0.000, 0.000, 0.000)
Cu (0.500, 0.500, 0.000)
Pt (0.000, 0.500, 0.500)
Pt (0.059, 0.800, 0.500)
Pt (0.200, 0.059, 0.500)
Pt (0.300, 0.559, 0.500)
Pt (0.441, 0.300, 0.500)
Pt (0.500, 0.000, 0.500)
Pt (0.559, 0.700, 0.500)
Pt (0.700, 0.441, 0.500)
Pt (0.800, 0.941, 0.500)
Pt (0.941, 0.200, 0.500)

Peak list (10 most intense, 15° ≤ 2θ ≤ 90°, low angle first)
h k l, Position (°2θ), I/Imax
0 0 1, 24.0, 9
2 0 1, 30.3, 9
2 1 1, 31.7, 17
2 2 1, 35.6, 15
4 1 0, 38.0, 100
3 3 0, 39.2, 18
3 2 1, 41.3, 32
4 0 1, 44.5, 11
0 0 2, 49.2, 17
4 1 2, 63.8, 16